This entry pairs a crystal structure of Ac3ScC2N6 with its theoretical XRD peak list. Radiation: Cu Kα X-rays. Structure: a crystal structure in Alexandria, relaxed with GGA-PBE.

Cell and atoms:
a = 5.4705 Å, b = 5.4705 Å, c = 7.1424 Å
α = 90.00°, β = 90.00°, γ = 120.00°
Space group P-3m1 (No. 164)
Inequivalent atoms, fractional coordinates:
Ac 0.0000 0.0000 0.0000 [1 per cell]
Ac 0.3333 0.6667 0.6874 [2 per cell]
Sc 0.0000 0.0000 0.5000 [1 per cell]
C 0.3333 0.6667 0.2988 [2 per cell]
N 0.1875 0.3750 0.3083 [6 per cell]

Most intense lines, 2θ from 10° to 80°, by angle:
(hkl)  Position (°2θ)  d [Å]  I_rel
1 0 1  22.52  3.948  100
0 1 2  31.37  2.852  68
1 1 0  32.74  2.735  62
0 0 3  37.79  2.381  13
0 2 1  40.10  2.248  34
2 0 2  45.98  1.974  29
1 1 3  50.84  1.796  26
2 1 1  52.70  1.737  24
1 2 2  57.58  1.601  24
2 2 0  68.62  1.368  14


This entry pairs a crystal structure of Ti3NbPt12 with its theoretical XRD peak list. Radiation: Cu Kα X-rays. Structure: a crystal structure in Alexandria, relaxed with GGA-PBE.

Cell and atoms:
a = 3.967 Å, b = 3.967 Å, c = 15.830 Å
α = 90.00°, β = 90.00°, γ = 90.00°
Space group P4/mmm (No. 123)
Inequivalent atoms, fractional coordinates:
Ti 0.000 0.000 0.000 [1 per cell]
Ti 0.000 0.000 0.246 [2 per cell]
Nb 0.000 0.000 0.500 [1 per cell]
Pt 0.000 0.500 0.124 [4 per cell]
Pt 0.000 0.500 0.373 [4 per cell]
Pt 0.500 0.500 0.000 [1 per cell]
Pt 0.500 0.500 0.249 [2 per cell]
Pt 0.500 0.500 0.500 [1 per cell]

Most intense lines, 2θ from 10° to 80°, by angle:
(hkl)  Position (°2θ)  d [Å]  I_rel
1 0 0  22.43  3.964  13
1 1 0  31.93  2.803  11
1 1 4  39.37  2.289  100
2 0 0  45.74  1.984  33
0 0 8  45.86  1.979  16
2 1 0  51.52  1.774  4
1 0 8  51.62  1.771  2
2 1 4  56.90  1.618  5
2 2 0  66.75  1.401  32
2 1 8  71.38  1.321  3


This entry pairs a crystal structure of Zr4Bi2Sb with its theoretical XRD peak list. Radiation: Cu Kα X-rays. Structure: a crystal structure in Alexandria, relaxed with GGA-PBE.

Cell and atoms:
a = 8.780 Å, b = 8.780 Å, c = 8.821 Å
α = 90.00°, β = 90.00°, γ = 90.00°
Space group I-42d (No. 122)
Inequivalent atoms, fractional coordinates:
Zr 0.077 0.177 0.290 [16 per cell]
Bi 0.120 0.250 0.625 [8 per cell]
Sb 0.000 0.000 0.000 [4 per cell]

Most intense lines, 2θ from 10° to 80°, by angle:
(hkl)  Position (°2θ)  d [Å]  I_rel
1 1 2  24.79  3.591  47
1 0 3  32.10  2.788  42
3 1 0  32.24  2.777  100
2 1 3  38.26  2.352  71
3 2 1  38.35  2.347  34
4 0 2  46.22  1.964  28
3 3 2  48.56  1.875  25
4 1 3  53.14  1.724  15
6 1 1  65.51  1.425  32
5 1 4  69.20  1.358  14


This entry pairs a crystal structure of LiAc2SnO6 with its theoretical XRD peak list. Radiation: Cu Kα X-rays. Structure: a crystal structure in Alexandria, relaxed with GGA-PBE.

Cell and atoms:
a = 5.931 Å, b = 5.614 Å, c = 10.256 Å
α = 90.00°, β = 125.17°, γ = 90.00°
Space group P2_1/c (No. 14)
Inequivalent atoms, fractional coordinates:
Li 0.000 0.000 0.000 [2 per cell]
Ac 0.237 0.001 0.747 [4 per cell]
Sn 0.500 0.000 0.500 [2 per cell]
O 0.200 0.249 0.447 [4 per cell]
O 0.202 0.748 0.447 [4 per cell]
O 0.351 0.001 0.259 [4 per cell]

Most intense lines, 2θ from 10° to 80°, by angle:
(hkl)  Position (°2θ)  d [Å]  I_rel
0 0 2  21.19  4.192  18
1 1 -1  21.80  4.077  31
2 0 -2  30.14  2.965  23
1 1 1  30.59  2.923  100
0 2 0  31.88  2.807  22
0 2 2  38.60  2.333  15
0 0 4  43.16  2.096  13
2 2 -2  44.44  2.039  26
3 1 -3  48.85  1.864  13
1 3 1  56.00  1.642  19


This entry pairs a crystal structure of RbNaHg14 with its theoretical XRD peak list. Radiation: Cu Kα X-rays. Structure: a crystal structure in Alexandria, relaxed with GGA-PBE.

Cell and atoms:
a = 11.382 Å, b = 11.841 Å, c = 14.765 Å
α = 90.00°, β = 90.00°, γ = 90.00°
Space group Imma (No. 74)
Inequivalent atoms, fractional coordinates:
Rb 0.000 0.250 0.111 [4 per cell]
Na 0.000 0.000 0.500 [4 per cell]
Hg 0.125 0.250 0.761 [8 per cell]
Hg 0.134 0.001 0.693 [16 per cell]
Hg 0.141 0.074 0.917 [16 per cell]
Hg 0.145 0.250 0.545 [8 per cell]
Hg 0.158 0.250 0.338 [8 per cell]

Most intense lines, 2θ from 10° to 80°, by angle:
(hkl)  Position (°2θ)  d [Å]  I_rel
3 2 1  28.58  3.123  54
0 3 3  29.00  3.079  39
0 4 0  30.19  2.960  64
0 1 5  31.25  2.863  100
4 0 0  31.44  2.845  96
1 3 4  34.18  2.623  49
3 4 1  39.07  2.306  41
3 3 4  41.07  2.198  56
4 1 5  44.90  2.019  31
0 6 0  45.94  1.976  30


This entry pairs a crystal structure of Zn3Sn2Ru2 with its theoretical XRD peak list. Radiation: Cu Kα X-rays. Structure: a crystal structure in Alexandria, relaxed with GGA-PBE.

Cell and atoms:
a = 8.295 Å, b = 4.181 Å, c = 13.870 Å
α = 90.00°, β = 90.00°, γ = 90.00°
Space group Pnma (No. 62)
Inequivalent atoms, fractional coordinates:
Zn 0.034 0.250 0.041 [4 per cell]
Zn 0.090 0.250 0.244 [4 per cell]
Zn 0.157 0.750 0.630 [4 per cell]
Sn 0.148 0.250 0.477 [4 per cell]
Sn 0.155 0.250 0.805 [4 per cell]
Ru 0.041 0.750 0.356 [4 per cell]
Ru 0.150 0.750 0.131 [4 per cell]

Most intense lines, 2θ from 10° to 80°, by angle:
(hkl)  Position (°2θ)  d [Å]  I_rel
0 1 1  22.21  4.003  18
1 1 3  30.78  2.905  37
3 0 3  37.92  2.373  41
0 1 5  38.96  2.312  50
2 1 4  40.18  2.244  100
1 0 6  40.51  2.227  21
3 1 2  41.25  2.189  79
0 2 0  43.28  2.091  54
3 2 3  58.87  1.569  23
5 0 6  69.77  1.348  16


This entry pairs a crystal structure of TlPb4 with its theoretical XRD peak list. Radiation: Cu Kα X-rays. Structure: a crystal structure in Alexandria, relaxed with GGA-PBE.

Cell and atoms:
a = 3.625 Å, b = 4.810 Å, c = 18.140 Å
α = 90.00°, β = 90.00°, γ = 90.00°
Space group Immm (No. 71)
Inequivalent atoms, fractional coordinates:
Tl 0.000 0.000 0.000 [2 per cell]
Pb 0.000 0.000 0.198 [4 per cell]
Pb 0.000 0.000 0.398 [4 per cell]

Most intense lines, 2θ from 10° to 80°, by angle:
(hkl)  Position (°2θ)  d [Å]  I_rel
1 1 0  30.88  2.896  100
1 0 5  34.99  2.564  36
0 2 0  37.39  2.405  15
2 0 0  50.32  1.813  13
1 2 5  52.14  1.754  24
2 1 5  60.21  1.537  31
1 3 0  63.44  1.466  13
2 2 0  64.34  1.448  13
2 0 10  73.92  1.282  4
0 4 0  79.75  1.202  2


This entry pairs a crystal structure of GeAu3S4 with its theoretical XRD peak list. Radiation: Cu Kα X-rays. Structure: a crystal structure in Alexandria, relaxed with GGA-PBE.

Cell and atoms:
a = 7.886 Å, b = 6.614 Å, c = 6.857 Å
α = 90.00°, β = 90.00°, γ = 90.00°
Space group Pmn2_1 (No. 31)
Inequivalent atoms, fractional coordinates:
Ge 0.000 0.171 0.000 [2 per cell]
Au 0.000 0.936 0.555 [2 per cell]
Au 0.248 0.324 0.556 [4 per cell]
S 0.000 0.209 0.328 [2 per cell]
S 0.000 0.844 0.890 [2 per cell]
S 0.245 0.322 0.903 [4 per cell]

Most intense lines, 2θ from 10° to 80°, by angle:
(hkl)  Position (°2θ)  d [Å]  I_rel
0 1 1  18.64  4.760  28
0 0 2  25.99  3.428  61
2 1 0  26.31  3.387  68
2 1 1  29.41  3.037  100
0 2 1  30.00  2.979  54
2 1 2  37.32  2.409  36
2 2 2  44.46  2.038  22
4 0 0  46.04  1.971  29
2 1 3  48.02  1.895  41
0 2 3  48.41  1.880  21


This entry pairs a crystal structure of Hf2TlH with its theoretical XRD peak list. Radiation: Cu Kα X-rays. Structure: a crystal structure in Alexandria, relaxed with GGA-PBE.

Cell and atoms:
a = 3.391 Å, b = 5.224 Å, c = 7.961 Å
α = 90.00°, β = 102.20°, γ = 90.00°
Space group P2_1 (No. 4)
Inequivalent atoms, fractional coordinates:
Hf 0.072 0.000 0.140 [2 per cell]
Hf 0.262 0.486 0.526 [2 per cell]
Tl 0.401 0.005 0.804 [2 per cell]
H 0.193 0.142 0.386 [2 per cell]

Most intense lines, 2θ from 10° to 80°, by angle:
(hkl)  Position (°2θ)  d [Å]  I_rel
0 2 0  34.33  2.612  30
0 0 3  34.58  2.594  23
1 1 1  36.01  2.494  100
0 1 3  38.76  2.323  11
0 2 3  49.53  1.840  17
2 0 -1  54.09  1.696  9
1 3 1  62.58  1.484  20
1 1 4  62.90  1.477  11
2 2 -1  65.65  1.422  9
1 2 -5  71.04  1.327  7


This entry pairs a crystal structure of MgCd with its theoretical XRD peak list. Radiation: Cu Kα X-rays. Structure: a crystal structure in Alexandria, relaxed with GGA-PBE.

Cell and atoms:
a = 5.0196 Å, b = 5.0196 Å, c = 5.7487 Å
α = 90.00°, β = 90.00°, γ = 120.00°
Space group P6_3/mmc (No. 194)
Inequivalent atoms, fractional coordinates:
Mg 0.3333 0.6667 0.2500 [2 per cell]
Cd 0.3333 0.6667 0.7500 [2 per cell]

Most intense lines, 2θ from 10° to 80°, by angle:
(hkl)  Position (°2θ)  d [Å]  I_rel
1 0 0  20.43  4.347  74
1 0 1  25.69  3.467  100
0 0 2  31.11  2.874  34
1 1 0  35.78  2.510  70
1 0 2  37.51  2.398  31
2 0 1  44.57  2.033  22
1 1 2  48.13  1.891  59
2 1 1  58.42  1.580  19
3 0 2  73.14  1.294  16
1 1 4  76.36  1.247  23


This entry pairs a crystal structure of Pm2TcGe6Ir with its theoretical XRD peak list. Radiation: Cu Kα X-rays. Structure: a crystal structure in Alexandria, relaxed with GGA-PBE.

Cell and atoms:
a = 7.5465 Å, b = 7.5465 Å, c = 27.6140 Å
α = 90.00°, β = 90.00°, γ = 120.00°
Space group R-3m (No. 166, hexagonal axes)
Inequivalent atoms, fractional coordinates:
Pm 0.0000 0.0000 0.1364 [6 per cell]
Pm 0.0000 0.0000 0.2868 [6 per cell]
Tc 0.0000 0.0000 0.0000 [3 per cell]
Tc 0.0000 0.0000 0.5000 [3 per cell]
Ge 0.0135 0.5068 0.1172 [18 per cell]
Ge 0.0310 0.5155 0.7196 [18 per cell]
Ir 0.0000 0.0000 0.3916 [6 per cell]

Most intense lines, 2θ from 10° to 80°, by angle:
(hkl)  Position (°2θ)  d [Å]  I_rel
1 0 1  13.92  6.360  19
1 1 0  23.58  3.773  100
2 0 5  31.82  2.812  36
0 2 7  35.68  2.516  61
1 1 9  37.79  2.381  27
2 0 8  37.92  2.373  42
3 0 0  41.45  2.178  21
0 2 10  42.88  2.109  21
1 2 8  45.14  2.009  17
2 2 0  48.24  1.887  79


This entry pairs a crystal structure of CaPm2Hg2 with its theoretical XRD peak list. Radiation: Cu Kα X-rays. Structure: a crystal structure in Alexandria, relaxed with GGA-PBE.

Cell and atoms:
a = 3.797 Å, b = 28.276 Å, c = 5.449 Å
α = 90.00°, β = 90.00°, γ = 90.00°
Space group Cmcm (No. 63)
Inequivalent atoms, fractional coordinates:
Ca 0.000 0.143 0.250 [4 per cell]
Pm 0.000 0.048 0.750 [4 per cell]
Pm 0.000 0.233 0.750 [4 per cell]
Hg 0.000 0.357 0.250 [4 per cell]
Hg 0.000 0.454 0.750 [4 per cell]

Most intense lines, 2θ from 10° to 80°, by angle:
(hkl)  Position (°2θ)  d [Å]  I_rel
0 2 1  17.44  5.085  9
0 4 1  20.58  4.316  7
0 10 0  31.64  2.828  17
0 0 2  32.83  2.728  100
0 10 2  46.27  1.962  12
2 0 0  47.92  1.898  7
1 15 1  57.11  1.613  9
1 5 3  58.63  1.574  21
2 0 2  59.33  1.558  8
2 10 2  68.81  1.364  8